Structure and theoretical powder XRD pattern of Mg4H4Ir (a DFT-relaxed cell (PBE, Alexandria); Cu Kα, 1.54184 Å).
Lines closer than 0.1° are merged.

Structural model:
```
Mg4H4Ir
1.0
4.2028 0.0000 0.0000
-2.0990 4.6535 0.0000
-0.0005 -0.1197 5.9637
Mg H Ir
4 4 1
direct
0.0000 0.0000 0.0000 Mg
0.0087 0.0184 0.5162 Mg
0.3260 0.6521 0.2978 Mg
0.7181 0.4374 0.7282 Mg
0.1245 0.2503 0.2545 H
0.2611 0.5262 0.9031 H
0.5346 0.0694 0.9802 H
0.8599 0.7205 0.2488 H
0.4164 0.8335 0.7582 Ir
```

The 6 most intense peaks (2θ = 5–70°), by angle:
2θ/deg	Rel. int.
14.9	100
19.1	65
23.2	50
27.6	36
27.8	34
38.4	38

---

Structure and theoretical powder XRD pattern of Mg5HIr3 (a DFT-relaxed cell (PBE, Alexandria); Cu Kα, 1.54184 Å).
Lines closer than 0.1° are merged.

Structural model:
```
Mg5HIr3
1.0
3.2292 -3.2457 0.0000
3.2292 3.2457 0.0000
-0.0613 0.0000 6.3619
Mg H Ir
5 1 3
direct
0.0000 0.0000 0.0000 Mg
0.0053 0.4964 0.7265 Mg
0.4964 0.0053 0.7265 Mg
0.4967 0.9907 0.2677 Mg
0.9907 0.4967 0.2677 Mg
0.5539 0.5539 0.7554 H
0.4859 0.4859 0.0177 Ir
0.4942 0.4942 0.4854 Ir
0.9964 0.9964 0.4983 Ir
```

The 6 most intense peaks (2θ = 5–70°), by angle:
2θ/deg	Rel. int.
27.5	45
27.6	44
28.1	42
39.4	71
39.6	100
40.0	33

---

Structure and theoretical powder XRD pattern of Mg2H3Ir (a DFT-relaxed cell (PBE, Alexandria); Cu Kα, 1.54184 Å).
Lines closer than 0.1° are merged.

Structural model:
```
Mg2H3Ir
1.0
6.2665 0.0000 0.0000
0.0000 6.9582 0.0000
-2.7809 0.0000 3.1235
Mg H Ir
4 6 2
direct
0.0000 0.2124 0.0000 Mg
0.0000 0.7876 0.0000 Mg
0.5000 0.2876 0.0000 Mg
0.5000 0.7124 0.0000 Mg
0.0002 0.2590 0.5035 H
0.0002 0.7410 0.5035 H
0.4993 0.0000 0.0794 H
0.5002 0.2410 0.5035 H
0.5002 0.7590 0.5035 H
0.9993 0.5000 0.0794 H
0.0000 0.5000 0.4924 Ir
0.5000 0.0000 0.4924 Ir
```

The 6 most intense peaks (2θ = 5–70°), by angle:
2θ/deg	Rel. int.
22.9	97
24.8	100
28.6	34
38.5	24
38.8	84
43.5	28

---

Structure and theoretical powder XRD pattern of Mg4HIr (a DFT-relaxed cell (PBE, Alexandria); Cu Kα, 1.54184 Å).
Lines closer than 0.1° are merged.

Structural model:
```
Mg4HIr
1.0
4.6404 0.0000 0.0000
0.0000 3.0803 0.0000
-0.1496 0.0000 7.4005
Mg H Ir
4 1 1
direct
0.0000 0.0000 0.0000 Mg
0.0198 0.5000 0.4630 Mg
0.5147 0.0000 0.2738 Mg
0.5355 0.0000 0.6879 Mg
0.2456 0.5000 0.8130 H
0.4969 0.5000 0.9801 Ir
```

The 6 most intense peaks (2θ = 5–70°), by angle:
2θ/deg	Rel. int.
12.0	100
19.1	41
22.8	24
24.1	25
36.9	30
37.2	27

---

Structure and theoretical powder XRD pattern of Mg3H5Ir2 (a DFT-relaxed cell (PBE, Alexandria); Cu Kα, 1.54184 Å).
Lines closer than 0.1° are merged.

Structural model:
```
Mg3H5Ir2
1.0
3.0234 0.0000 0.0000
0.0000 4.4680 0.0000
-1.4887 0.0000 7.5548
Mg H Ir
3 5 2
direct
0.0000 0.0000 0.0000 Mg
0.1481 0.5000 0.2965 Mg
0.3220 0.0000 0.6496 Mg
0.5826 0.2486 0.1634 H
0.5826 0.7514 0.1634 H
0.7462 0.2641 0.4950 H
0.7462 0.7359 0.4950 H
0.8829 0.5000 0.7577 H
0.4421 0.5000 0.8801 Ir
0.6687 0.0000 0.3375 Ir
```

The 6 most intense peaks (2θ = 5–70°), by angle:
2θ/deg	Rel. int.
23.1	100
23.6	55
30.1	29
36.4	35
40.2	67
41.1	30

---

Structure and theoretical powder XRD pattern of MgH5Ir2 (a DFT-relaxed cell (PBE, Alexandria); Cu Kα, 1.54184 Å).
Lines closer than 0.1° are merged.

Structural model:
```
MgH5Ir2
1.0
4.0589 0.0000 0.0000
-0.2451 4.0670 0.0000
-1.3143 -1.4010 4.3723
Mg H Ir
1 5 2
direct
0.0000 0.0000 0.0000 Mg
0.2519 0.6172 0.7729 H
0.5318 0.5324 0.3563 H
0.5416 0.9970 0.2920 H
0.6165 0.2517 0.7736 H
0.9970 0.5414 0.2923 H
0.3461 0.8628 0.5398 Ir
0.8618 0.3458 0.5389 Ir
```

The 6 most intense peaks (2θ = 5–70°), by angle:
2θ/deg	Rel. int.
20.3	100
30.2	38
32.8	32
35.2	30
36.7	59
41.3	21

---

Structure and theoretical powder XRD pattern of Mg3H3Ir (a DFT-relaxed cell (PBE, Alexandria); Cu Kα, 1.54184 Å).
Lines closer than 0.1° are merged.

Structural model:
```
Mg3H3Ir
1.0
4.8089 0.0000 0.0000
-1.3343 4.6536 0.0000
-1.7324 -2.3296 3.8833
Mg H Ir
3 3 1
direct
0.0000 0.0000 0.0000 Mg
0.2494 0.6612 0.5739 Mg
0.5733 0.5719 0.1451 Mg
0.3102 0.1011 0.5721 H
0.6555 0.0634 0.2423 H
0.9851 0.3934 0.9011 H
0.6419 0.3468 0.5721 Ir
```

The 6 most intense peaks (2θ = 5–70°), by angle:
2θ/deg	Rel. int.
22.3	96
22.4	100
22.9	43
32.7	54
38.7	68
39.9	49

---

Structure and theoretical powder XRD pattern of Mg3H2Ir5 (a DFT-relaxed cell (PBE, Alexandria); Cu Kα, 1.54184 Å).
Lines closer than 0.1° are merged.

Structural model:
```
Mg3H2Ir5
1.0
4.8332 -2.8906 0.0000
4.8332 2.8906 0.0000
-1.4422 0.0000 4.5774
Mg H Ir
3 2 5
direct
0.0000 0.0000 0.0000 Mg
0.2563 0.2563 0.5086 Mg
0.5022 0.5022 0.0314 Mg
0.1886 0.1886 0.8732 H
0.9137 0.9137 0.3738 H
0.2671 0.7452 0.5223 Ir
0.5226 0.9852 0.0246 Ir
0.7452 0.2671 0.5223 Ir
0.7468 0.7468 0.5240 Ir
0.9852 0.5226 0.0246 Ir
```

The 6 most intense peaks (2θ = 5–70°), by angle:
2θ/deg	Rel. int.
22.9	46
38.8	100
39.1	50
39.4	50
44.7	68
46.8	30